Structure and calculated PXRD pattern of HIrRh3 (a structure optimized by DFT (GGA-PBE); Cu Ka).

The 8 most intense peaks (2θ from 15° to 90°), low angle first:
hkl	two_theta	intensity
1 0 0	22.78	8
1 1 0	32.44	7
1 1 1	40.01	100
2 0 0	46.53	49
2 1 0	52.42	4
2 2 0	67.92	31
3 1 1	81.84	37
2 2 2	86.34	11

Cell: 3.9034 3.9034 3.9034 Å, 90.00 90.00 90.00°
Space group Pm-3m (No. 221)
Unique sites:
H 0.0000 0.0000 0.0000 (multiplicity 1)
Ir 0.5000 0.5000 0.5000 (multiplicity 1)
Rh 0.0000 0.0000 0.5000 (multiplicity 3)

Structure and calculated PXRD pattern of VHIr2Rh (a structure optimized by DFT (GGA-PBE); Cu Ka).

The 8 most intense peaks (2θ from 15° to 90°), low angle first:
hkl	two_theta	intensity
0 0 1	23.06	18
1 1 0	32.52	15
1 1 1	40.24	100
2 0 0	46.66	33
0 0 2	47.12	16
2 0 2	68.48	21
3 1 1	82.18	25
1 1 3	82.87	12

Cell: 3.8937 3.8937 3.8572 Å, 90.00 90.00 90.00°
Space group P4/mmm (No. 123)
Unique sites:
V 0.0000 0.0000 0.0000 (multiplicity 1)
H 0.5000 0.5000 0.5000 (multiplicity 1)
Ir 0.0000 0.5000 0.5000 (multiplicity 2)
Rh 0.5000 0.5000 0.0000 (multiplicity 1)

Structure and calculated PXRD pattern of HIrRu3 (a structure optimized by DFT (GGA-PBE); Cu Ka).

The 8 most intense peaks (2θ from 15° to 90°), low angle first:
hkl	two_theta	intensity
1 0 0	22.92	9
1 1 0	32.64	8
1 1 1	40.27	100
2 0 0	46.84	49
2 1 0	52.76	4
2 2 0	68.40	31
3 1 1	82.46	37
2 2 2	87.01	11

Cell: 3.8794 3.8794 3.8794 Å, 90.00 90.00 90.00°
Space group Pm-3m (No. 221)
Unique sites:
H 0.0000 0.0000 0.0000 (multiplicity 1)
Ir 0.5000 0.5000 0.5000 (multiplicity 1)
Ru 0.0000 0.0000 0.5000 (multiplicity 3)

Structure and calculated PXRD pattern of SbH6Ir (a structure optimized by DFT (GGA-PBE); Cu Ka).

The 8 most intense peaks (2θ from 15° to 90°), low angle first:
hkl	two_theta	intensity
1 1 -1	25.07	100
2 0 0	30.71	30
0 2 0	33.07	24
1 1 1	37.81	35
2 0 -2	38.28	16
3 1 -1	42.18	25
2 2 0	45.75	19
2 2 -2	51.46	14

Cell: 7.0193 5.4178 4.7504 Å, 90.00 123.95 90.00°
Space group C2/m (No. 12)
Unique sites:
Sb 0.0000 0.0000 0.0000 (multiplicity 2)
H 0.0739 0.2654 0.7777 (multiplicity 8)
H 0.2152 0.5000 0.4434 (multiplicity 4)
Ir 0.0000 0.5000 0.5000 (multiplicity 2)

Structure and calculated PXRD pattern of HIrSe (a structure optimized by DFT (GGA-PBE); Cu Ka).

The 8 most intense peaks (2θ from 15° to 90°), low angle first:
hkl	two_theta	intensity
1 1 0	21.65	14
0 2 0	27.29	14
1 1 1	28.36	100
2 0 1	38.77	18
1 1 2	43.00	15
0 2 2	46.32	26
2 2 1	48.06	22
1 3 1	48.90	20

Cell: 5.2756 6.5361 4.8990 Å, 90.00 90.00 90.00°
Space group C222_1 (No. 20)
Unique sites:
H 0.0000 0.1356 0.2500 (multiplicity 4)
Ir 0.1662 0.0000 0.5000 (multiplicity 4)
Se 0.0000 0.3067 0.7500 (multiplicity 4)

Structure and calculated PXRD pattern of HIrSe (a structure optimized by DFT (GGA-PBE); Cu Ka).

The 8 most intense peaks (2θ from 15° to 90°), low angle first:
hkl	two_theta	intensity
1 1 -1	24.06	96
0 2 0	30.16	32
1 1 1	34.47	100
2 0 -2	38.02	52
0 2 2	47.50	37
2 2 0	48.37	35
1 3 -1	50.03	46
1 1 -3	51.42	33

Cell: 5.4713 5.9268 5.6321 Å, 90.00 117.09 90.00°
Space group C2/c (No. 15)
Unique sites:
H 0.0000 0.0824 0.2500 (multiplicity 4)
Ir 0.2500 0.2500 0.5000 (multiplicity 4)
Se 0.0000 0.4060 0.7500 (multiplicity 4)

Structure and calculated PXRD pattern of SmSiHIr2 (a structure optimized by DFT (GGA-PBE); Cu Ka).

The 8 most intense peaks (2θ from 15° to 90°), low angle first:
hkl	two_theta	intensity
1 1 1	27.44	33
0 2 2	30.04	34
1 3 0	33.99	100
1 1 2	35.17	89
0 4 1	35.60	34
0 2 3	41.52	45
2 0 0	46.81	34
1 5 3	62.92	37

Cell: 3.8818 10.7853 7.1313 Å, 90.00 90.00 90.00°
Space group Cmcm (No. 63)
Unique sites:
Sm 0.0000 0.0574 0.2500 (multiplicity 4)
Si 0.0000 0.2221 0.7500 (multiplicity 4)
H 0.0000 0.5000 0.0000 (multiplicity 4)
Ir 0.0000 0.3384 0.0547 (multiplicity 8)

Structure and calculated PXRD pattern of SrH6Ir (a structure optimized by DFT (GGA-PBE); Cu Ka).

The 8 most intense peaks (2θ from 15° to 90°), low angle first:
hkl	two_theta	intensity
1 1 -1	22.75	19
1 1 1	26.14	100
2 0 -2	27.77	43
1 1 -3	35.06	46
0 2 0	36.49	20
2 0 2	38.10	19
3 1 -1	41.72	30
2 2 -2	46.47	21

Cell: 7.2383 4.9242 9.0497 Å, 90.00 107.79 90.00°
Space group C2/c (No. 15)
Unique sites:
Sr 0.0000 0.2274 0.2500 (multiplicity 4)
H 0.0762 0.4830 0.0125 (multiplicity 8)
H 0.1734 0.2266 0.8058 (multiplicity 8)
H 0.1753 0.0576 0.5367 (multiplicity 8)
Ir 0.2500 0.2500 0.0000 (multiplicity 4)

Please write out number 5 again, unchanged.
Structure and calculated PXRD pattern of HIrSe (a structure optimized by DFT (GGA-PBE); Cu Ka).

The 8 most intense peaks (2θ from 15° to 90°), low angle first:
hkl	two_theta	intensity
1 1 0	21.65	14
0 2 0	27.29	14
1 1 1	28.36	100
2 0 1	38.77	18
1 1 2	43.00	15
0 2 2	46.32	26
2 2 1	48.06	22
1 3 1	48.90	20

Cell: 5.2756 6.5361 4.8990 Å, 90.00 90.00 90.00°
Space group C222_1 (No. 20)
Unique sites:
H 0.0000 0.1356 0.2500 (multiplicity 4)
Ir 0.1662 0.0000 0.5000 (multiplicity 4)
Se 0.0000 0.3067 0.7500 (multiplicity 4)

What did the sixth record say?
Structure and calculated PXRD pattern of HIrSe (a structure optimized by DFT (GGA-PBE); Cu Ka).

The 8 most intense peaks (2θ from 15° to 90°), low angle first:
hkl	two_theta	intensity
1 1 -1	24.06	96
0 2 0	30.16	32
1 1 1	34.47	100
2 0 -2	38.02	52
0 2 2	47.50	37
2 2 0	48.37	35
1 3 -1	50.03	46
1 1 -3	51.42	33

Cell: 5.4713 5.9268 5.6321 Å, 90.00 117.09 90.00°
Space group C2/c (No. 15)
Unique sites:
H 0.0000 0.0824 0.2500 (multiplicity 4)
Ir 0.2500 0.2500 0.5000 (multiplicity 4)
Se 0.0000 0.4060 0.7500 (multiplicity 4)